(1)
Diffraction record for HfNiO3. The PXRD pattern is simulated, not measured: it uses the GGA+U geometry in Alexandria and λ = 1.5418 Å (Cu Kα).
Peak positions follow from Bragg's law for the DFT cell and can differ from measured ones.

Peak list (12 most intense, 2θ from 5° to 70°, most intense first)
2θ = 31.74°, rel. 100, (1 0 4); 2θ = 34.12°, rel. 92, (1 1 0); 2θ = 23.14°, rel. 88, (0 1 2); 2θ = 51.65°, rel. 56, (1 1 6); 2θ = 47.29°, rel. 38, (0 2 4); 2θ = 59.59°, rel. 36, (2 1 4); 2θ = 61.08°, rel. 27, (3 0 0); 2θ = 54.92°, rel. 27, (0 1 8); 2θ = 41.63°, rel. 16, (2 0 2); 2θ = 68.50°, rel. 15, (1 0 10); 2θ = 37.57°, rel. 12, (0 0 6); 2θ = 66.31°, rel. 6, (2 0 8)

Atomic structure:
```
data_HfNiO3
_cell_length_a 5.2556
_cell_length_b 5.2556
_cell_length_c 14.3645
_cell_angle_alpha 90.00
_cell_angle_beta 90.00
_cell_angle_gamma 120.00
_symmetry_space_group_name_H-M 'R 3 c'
_symmetry_Int_Tables_number 161
_symmetry_space_group_name_Hall 'R 3 -2"c'
loop_
_atom_site_label
_atom_site_fract_x
_atom_site_fract_y
_atom_site_fract_z
Hf1 0.0000 0.0000 0.0000
Ni1 0.0000 0.0000 0.2957
O1 0.0324 0.3594 0.0650
```

=====

(2)
Diffraction record for HfNi2O4. The PXRD pattern is simulated, not measured: it uses the GGA+U geometry in Alexandria and λ = 1.5418 Å (Cu Kα).
Peak positions follow from Bragg's law for the DFT cell and can differ from measured ones.

Peak list (12 most intense, 2θ from 5° to 70°, most intense first)
2θ = 34.25°, rel. 100, (2 1 1); 2θ = 17.66°, rel. 57, (1 0 1); 2θ = 34.03°, rel. 49, (1 0 3); 2θ = 35.75°, rel. 47, (2 0 2); 2θ = 60.07°, rel. 42, (2 2 4); 2θ = 22.88°, rel. 28, (1 1 1); 2θ = 41.64°, rel. 27, (2 2 0); 2θ = 54.98°, rel. 25, (3 2 1); 2θ = 25.00°, rel. 22, (1 0 2); 2θ = 60.35°, rel. 19, (4 0 0); 2θ = 41.27°, rel. 15, (0 0 4); 2θ = 54.53°, rel. 15, (1 0 5)

Atomic structure:
```
data_HfNi2O4
_cell_length_a 6.135
_cell_length_b 6.135
_cell_length_c 8.750
_cell_angle_alpha 90.00
_cell_angle_beta 90.00
_cell_angle_gamma 90.00
_symmetry_space_group_name_H-M 'P 41 2 2'
_symmetry_Int_Tables_number 91
_symmetry_space_group_name_Hall 'P 4w 2c'
loop_
_atom_site_label
_atom_site_fract_x
_atom_site_fract_y
_atom_site_fract_z
Hf1 0.000 0.276 0.000
Ni1 0.244 0.244 0.375
Ni2 0.268 0.500 0.750
O1 0.024 0.246 0.763
O2 0.249 0.495 0.992
```

=====

(3)
Diffraction record for HfNiPdO4. The PXRD pattern is simulated, not measured: it uses the GGA+U geometry in Alexandria and λ = 1.5418 Å (Cu Kα).
Peak positions follow from Bragg's law for the DFT cell and can differ from measured ones.

Peak list (12 most intense, 2θ from 5° to 70°, most intense first)
2θ = 34.20°, rel. 100, (0 2 2); 2θ = 17.67°, rel. 75, (1 0 1); 2θ = 56.97°, rel. 53, (2 2 4); 2θ = 30.80°, rel. 49, (1 0 3); 2θ = 42.90°, rel. 33, (2 2 0); 2θ = 35.41°, rel. 28, (2 1 1); 2θ = 35.66°, rel. 23, (0 0 4); 2θ = 35.78°, rel. 23, (2 0 2); 2θ = 30.34°, rel. 19, (0 1 3); 2θ = 57.09°, rel. 15, (3 2 1); 2θ = 64.13°, rel. 11, (2 0 6); 2θ = 60.22°, rel. 10, (0 4 0)

Atomic structure:
```
data_HfNiPdO4
_cell_length_a 5.790
_cell_length_b 6.147
_cell_length_c 10.071
_cell_angle_alpha 90.00
_cell_angle_beta 90.00
_cell_angle_gamma 90.00
_symmetry_space_group_name_H-M 'I m m a'
_symmetry_Int_Tables_number 74
_symmetry_space_group_name_Hall '-I 2b 2'
loop_
_atom_site_label
_atom_site_fract_x
_atom_site_fract_y
_atom_site_fract_z
Hf1 0.000 0.000 0.000
Ni1 0.000 0.250 0.345
Pd1 0.250 0.250 0.750
O1 0.000 0.015 0.785
O2 0.236 0.250 0.030
```

=====

(4)
Diffraction record for HfNiPtO6. The PXRD pattern is simulated, not measured: it uses the GGA+U geometry in Alexandria and λ = 1.5418 Å (Cu Kα).
Peak positions follow from Bragg's law for the DFT cell and can differ from measured ones.

Peak list (12 most intense, 2θ from 5° to 70°, most intense first)
2θ = 26.69°, rel. 100, (1 1 0); 2θ = 34.33°, rel. 85, (1 0 3); 2θ = 52.22°, rel. 67, (2 1 3); 2θ = 21.05°, rel. 26, (1 0 1); 2θ = 38.11°, rel. 25, (2 0 0); 2θ = 66.45°, rel. 19, (3 0 3); 2θ = 54.99°, rel. 16, (2 2 0); 2θ = 62.15°, rel. 16, (3 1 0); 2θ = 65.81°, rel. 16, (1 1 6); 2θ = 18.87°, rel. 8, (0 0 2); 2θ = 32.89°, rel. 8, (1 1 2); 2θ = 43.93°, rel. 8, (2 1 1)

Atomic structure:
```
data_HfNiPtO6
_cell_length_a 4.723
_cell_length_b 4.723
_cell_length_c 9.406
_cell_angle_alpha 90.00
_cell_angle_beta 90.00
_cell_angle_gamma 90.00
_symmetry_space_group_name_H-M 'P 42 n m'
_symmetry_Int_Tables_number 102
_symmetry_space_group_name_Hall 'P 4n -2n'
loop_
_atom_site_label
_atom_site_fract_x
_atom_site_fract_y
_atom_site_fract_z
Hf1 0.000 0.000 0.000
Ni1 0.000 0.000 0.332
Pt1 0.000 0.000 0.667
O1 0.191 0.191 0.506
O2 0.195 0.195 0.829
O3 0.208 0.208 0.165
```